Diffraction record for VOF. The X-ray diffraction stick pattern is computed, not measured: it uses a PBE+U-relaxed structure and Cu Ka.
No peak broadening, texture or thermal motion is included.

Cell and atoms:
Lattice parameters (Å, degrees): 4.725 4.725 6.239 90.00 90.00 90.00
Element x y z (fractional)
V1 0.030 0.030 0.000
V2 0.470 0.530 0.250
V3 0.530 0.470 0.750
V4 0.970 0.970 0.500
O1 0.181 0.819 0.250
O2 0.319 0.319 0.000
O3 0.681 0.681 0.500
O4 0.819 0.181 0.750
F1 0.209 0.791 0.750
F2 0.291 0.291 0.500
F3 0.709 0.709 0.000
F4 0.791 0.209 0.250

Main lines, sorted by position (15° ≤ 2θ ≤ 90°):
index	2θ (°)	Rel. int.
1 1 0	26.7	100
1 0 2	34.5	49
1 1 2	39.5	26
2 1 1	45.3	10
2 1 2	52.3	56
2 2 0	55.0	16
0 0 4	59.2	12
1 1 4	66.1	12
3 0 2	66.5	20
2 2 4	85.1	8